1.
Simulated powder diffractogram of Nd2Si5Rh3 for copper Kα, from a GGA-PBE-relaxed structure.
Neutral-atom scattering factors, no anomalous dispersion.

Cell and atoms:
```
data_Nd2Si5Rh3
_chemical_formula_sum 'Nd4 Si10 Rh6'
_symmetry_space_group_name_H-M 'P 1'
_symmetry_Int_Tables_number 1
_symmetry_space_group_name_Hall 'P 1'
_cell_length_a 8.256
_cell_length_b 8.256
_cell_length_c 8.256
_cell_angle_alpha 105.51
_cell_angle_beta 89.20
_cell_angle_gamma 138.30
loop_
_atom_site_label
_atom_site_type_symbol
_atom_site_fract_x
_atom_site_fract_y
_atom_site_fract_z
_atom_site_occupancy
Nd1 Nd 0.131 0.233 0.364 1
Nd2 Nd 0.369 0.733 0.102 1
Nd3 Nd 0.631 0.267 0.898 1
Nd4 Nd 0.869 0.767 0.636 1
Si1 Si 0.024 0.750 0.274 1
Si2 Si 0.107 0.653 0.760 1
Si3 Si 0.250 0.250 0.000 1
Si4 Si 0.393 0.153 0.546 1
Si5 Si 0.476 0.750 0.726 1
Si6 Si 0.524 0.250 0.274 1
Si7 Si 0.607 0.847 0.454 1
Si8 Si 0.750 0.750 0.000 1
Si9 Si 0.893 0.347 0.240 1
Si10 Si 0.976 0.250 0.726 1
Rh1 Rh 0.138 0.890 0.028 1
Rh2 Rh 0.250 0.750 0.500 1
Rh3 Rh 0.362 0.390 0.752 1
Rh4 Rh 0.638 0.610 0.248 1
Rh5 Rh 0.750 0.250 0.500 1
Rh6 Rh 0.862 0.110 0.972 1
```

Top 8 peaks for 2θ = 10–80°, low angle first:
24.4°, I = 22
30.4°, I = 41
32.7°, I = 18
34.5°, I = 100
35.4°, I = 84
43.5°, I = 60
50.7°, I = 20
56.7°, I = 45

=====

2.
Simulated powder diffractogram of KO2 for copper Kα, from a GGA-PBE-relaxed structure.
Neutral-atom scattering factors, no anomalous dispersion.

Cell and atoms:
```
data_KO2
_chemical_formula_sum 'K1 O2'
_symmetry_space_group_name_H-M 'P 1'
_symmetry_Int_Tables_number 1
_symmetry_space_group_name_Hall 'P 1'
_cell_length_a 4.397
_cell_length_b 4.397
_cell_length_c 4.397
_cell_angle_alpha 126.41
_cell_angle_beta 126.41
_cell_angle_gamma 79.21
loop_
_atom_site_label
_atom_site_type_symbol
_atom_site_fract_x
_atom_site_fract_y
_atom_site_fract_z
_atom_site_occupancy
K1 K 0.000 0.000 0.000 1
O1 O 0.400 0.400 0.000 1
O2 O 0.600 0.600 0.000 1
```

Top 8 peaks for 2θ = 10–80°, low angle first:
26.3°, I = 41
31.9°, I = 100
41.8°, I = 40
45.8°, I = 31
46.3°, I = 29
53.6°, I = 17
67.1°, I = 16
73.9°, I = 11

=====

3.
Simulated powder diffractogram of Cs3AsSe4O for copper Kα, from a GGA-PBE-relaxed structure.
Neutral-atom scattering factors, no anomalous dispersion.

Cell and atoms:
```
data_Cs3AsSe4O
_chemical_formula_sum 'Cs12 As4 Se16 O4'
_symmetry_space_group_name_H-M 'P 1'
_symmetry_Int_Tables_number 1
_symmetry_space_group_name_Hall 'P 1'
_cell_length_a 10.468
_cell_length_b 10.550
_cell_length_c 15.868
_cell_angle_alpha 90.00
_cell_angle_beta 130.21
_cell_angle_gamma 90.00
loop_
_atom_site_label
_atom_site_type_symbol
_atom_site_fract_x
_atom_site_fract_y
_atom_site_fract_z
_atom_site_occupancy
Cs1 Cs 0.142 0.039 0.457 1
Cs2 Cs 0.142 0.461 0.957 1
Cs3 Cs 0.241 0.575 0.456 1
Cs4 Cs 0.241 0.925 0.956 1
Cs5 Cs 0.337 0.674 0.750 1
Cs6 Cs 0.337 0.826 0.250 1
Cs7 Cs 0.663 0.174 0.750 1
Cs8 Cs 0.663 0.326 0.250 1
Cs9 Cs 0.759 0.075 0.044 1
Cs10 Cs 0.759 0.425 0.544 1
Cs11 Cs 0.858 0.539 0.043 1
Cs12 Cs 0.858 0.961 0.543 1
As1 As 0.240 0.216 0.766 1
As2 As 0.240 0.284 0.266 1
As3 As 0.760 0.716 0.734 1
As4 As 0.760 0.784 0.234 1
Se1 Se 0.017 0.192 0.765 1
Se2 Se 0.017 0.308 0.265 1
Se3 Se 0.134 0.175 0.093 1
Se4 Se 0.134 0.325 0.593 1
Se5 Se 0.341 0.016 0.768 1
Se6 Se 0.341 0.484 0.268 1
Se7 Se 0.448 0.151 0.406 1
Se8 Se 0.448 0.349 0.906 1
Se9 Se 0.552 0.651 0.094 1
Se10 Se 0.552 0.849 0.594 1
Se11 Se 0.659 0.516 0.732 1
Se12 Se 0.659 0.984 0.232 1
Se13 Se 0.866 0.675 0.407 1
Se14 Se 0.866 0.825 0.907 1
Se15 Se 0.983 0.692 0.735 1
Se16 Se 0.983 0.808 0.235 1
O1 O 0.057 0.750 0.012 1
O2 O 0.057 0.750 0.512 1
O3 O 0.943 0.250 0.488 1
O4 O 0.943 0.250 0.988 1
```

Top 8 peaks for 2θ = 10–80°, low angle first:
22.3°, I = 48
23.8°, I = 30
24.0°, I = 42
26.5°, I = 44
26.7°, I = 80
27.8°, I = 100
29.0°, I = 33
35.1°, I = 33

=====

4.
Simulated powder diffractogram of Li2Ti3P9O28 for copper Kα, from a GGA-PBE-relaxed structure.
Neutral-atom scattering factors, no anomalous dispersion.

Cell and atoms:
```
data_Li2Ti3P9O28
_chemical_formula_sum 'Li2 Ti3 P9 O28'
_symmetry_space_group_name_H-M 'P 1'
_symmetry_Int_Tables_number 1
_symmetry_space_group_name_Hall 'P 1'
_cell_length_a 7.266
_cell_length_b 9.268
_cell_length_c 9.598
_cell_angle_alpha 111.58
_cell_angle_beta 110.31
_cell_angle_gamma 99.04
loop_
_atom_site_label
_atom_site_type_symbol
_atom_site_fract_x
_atom_site_fract_y
_atom_site_fract_z
_atom_site_occupancy
Li1 Li 0.200 0.496 0.235 1
Li2 Li 0.800 0.504 0.765 1
Ti1 Ti 0.000 0.000 0.000 1
Ti2 Ti 0.251 0.496 0.745 1
Ti3 Ti 0.749 0.504 0.255 1
P1 P 0.164 0.191 0.404 1
P2 P 0.203 0.739 0.561 1
P3 P 0.308 0.263 0.941 1
P4 P 0.319 0.794 0.089 1
P5 P 0.500 0.000 0.500 1
P6 P 0.681 0.206 0.911 1
P7 P 0.692 0.737 0.059 1
P8 P 0.797 0.261 0.439 1
P9 P 0.836 0.809 0.596 1
O1 O 0.064 0.852 0.599 1
O2 O 0.072 0.594 0.384 1
O3 O 0.127 0.150 0.935 1
O4 O 0.129 0.185 0.234 1
O5 O 0.190 0.622 0.939 1
O6 O 0.236 0.313 0.802 1
O7 O 0.239 0.929 0.059 1
O8 O 0.244 0.061 0.438 1
O9 O 0.259 0.679 0.694 1
O10 O 0.286 0.369 0.543 1
O11 O 0.346 0.789 0.251 1
O12 O 0.396 0.845 0.576 1
O13 O 0.430 0.413 0.116 1
O14 O 0.455 0.156 0.909 1
O15 O 0.545 0.844 0.091 1
O16 O 0.570 0.587 0.884 1
O17 O 0.604 0.155 0.424 1
O18 O 0.654 0.211 0.749 1
O19 O 0.714 0.631 0.457 1
O20 O 0.741 0.321 0.306 1
O21 O 0.756 0.939 0.562 1
O22 O 0.761 0.071 0.941 1
O23 O 0.764 0.687 0.198 1
O24 O 0.810 0.378 0.061 1
O25 O 0.871 0.815 0.766 1
O26 O 0.873 0.850 0.065 1
O27 O 0.928 0.406 0.616 1
O28 O 0.936 0.148 0.401 1
```

Top 8 peaks for 2θ = 10–80°, low angle first:
13.3°, I = 34
16.9°, I = 100
17.6°, I = 46
22.5°, I = 36
23.0°, I = 61
29.0°, I = 79
29.2°, I = 37
30.2°, I = 50

=====

5.
Simulated powder diffractogram of Na2UI6 for copper Kα, from a GGA-PBE-relaxed structure.
Neutral-atom scattering factors, no anomalous dispersion.

Cell and atoms:
```
data_Na2UI6
_chemical_formula_sum 'Na2 U1 I6'
_symmetry_space_group_name_H-M 'P 1'
_symmetry_Int_Tables_number 1
_symmetry_space_group_name_Hall 'P 1'
_cell_length_a 8.692
_cell_length_b 8.692
_cell_length_c 8.692
_cell_angle_alpha 54.15
_cell_angle_beta 54.15
_cell_angle_gamma 54.15
loop_
_atom_site_label
_atom_site_type_symbol
_atom_site_fract_x
_atom_site_fract_y
_atom_site_fract_z
_atom_site_occupancy
Na1 Na 0.171 0.171 0.171 1
Na2 Na 0.829 0.829 0.829 1
U1 U 0.500 0.500 0.500 1
I1 I 0.114 0.411 0.734 1
I2 I 0.266 0.886 0.589 1
I3 I 0.411 0.734 0.114 1
I4 I 0.589 0.266 0.886 1
I5 I 0.734 0.114 0.411 1
I6 I 0.886 0.589 0.266 1
```

Top 8 peaks for 2θ = 10–80°, low angle first:
12.0°, I = 20
13.5°, I = 28
15.2°, I = 22
25.5°, I = 100
33.2°, I = 45
39.4°, I = 32
43.2°, I = 26
47.6°, I = 16

=====

6.
Simulated powder diffractogram of ZnFeCu4Ge2S8 for copper Kα, from a GGA-PBE-relaxed structure.
Neutral-atom scattering factors, no anomalous dispersion.

Cell and atoms:
```
data_ZnFeCu4Ge2S8
_chemical_formula_sum 'Zn1 Fe1 Cu4 Ge2 S8'
_symmetry_space_group_name_H-M 'P 1'
_symmetry_Int_Tables_number 1
_symmetry_space_group_name_Hall 'P 1'
_cell_length_a 7.544
_cell_length_b 6.513
_cell_length_c 6.513
_cell_angle_alpha 70.74
_cell_angle_beta 90.00
_cell_angle_gamma 90.00
loop_
_atom_site_label
_atom_site_type_symbol
_atom_site_fract_x
_atom_site_fract_y
_atom_site_fract_z
_atom_site_occupancy
Zn1 Zn 0.000 0.000 0.000 1
Fe1 Fe 0.500 0.500 0.500 1
Cu1 Cu 0.251 0.001 0.499 1
Cu2 Cu 0.251 0.499 0.001 1
Cu3 Cu 0.749 0.001 0.499 1
Cu4 Cu 0.749 0.499 0.001 1
Ge1 Ge 0.000 0.499 0.499 1
Ge2 Ge 0.500 0.002 0.002 1
S1 S 0.000 0.385 0.872 1
S2 S 0.000 0.872 0.385 1
S3 S 0.251 0.374 0.374 1
S4 S 0.257 0.872 0.872 1
S5 S 0.500 0.375 0.875 1
S6 S 0.500 0.875 0.375 1
S7 S 0.743 0.872 0.872 1
S8 S 0.749 0.374 0.374 1
```

Top 8 peaks for 2θ = 10–80°, low angle first:
29.0°, I = 100
33.6°, I = 8
48.3°, I = 20
48.4°, I = 40
57.3°, I = 27
57.5°, I = 13
70.7°, I = 6
78.3°, I = 10

=====

7.
Simulated powder diffractogram of K2Zn2O3 for copper Kα, from a GGA-PBE-relaxed structure.
Neutral-atom scattering factors, no anomalous dispersion.

Cell and atoms:
```
data_K2Zn2O3
_chemical_formula_sum 'K4 Zn4 O6'
_symmetry_space_group_name_H-M 'P 1'
_symmetry_Int_Tables_number 1
_symmetry_space_group_name_Hall 'P 1'
_cell_length_a 5.966
_cell_length_b 6.349
_cell_length_c 6.334
_cell_angle_alpha 90.00
_cell_angle_beta 113.55
_cell_angle_gamma 90.00
loop_
_atom_site_label
_atom_site_type_symbol
_atom_site_fract_x
_atom_site_fract_y
_atom_site_fract_z
_atom_site_occupancy
K1 K 0.193 0.133 0.432 1
K2 K 0.193 0.367 0.932 1
K3 K 0.807 0.633 0.068 1
K4 K 0.807 0.867 0.568 1
Zn1 Zn 0.329 0.614 0.567 1
Zn2 Zn 0.329 0.886 0.067 1
Zn3 Zn 0.671 0.114 0.933 1
Zn4 Zn 0.671 0.386 0.433 1
O1 O 0.000 0.000 0.000 1
O2 O 0.000 0.500 0.500 1
O3 O 0.415 0.638 0.290 1
O4 O 0.415 0.862 0.790 1
O5 O 0.585 0.138 0.210 1
O6 O 0.585 0.362 0.710 1
```

Top 8 peaks for 2θ = 10–80°, low angle first:
20.7°, I = 42
30.0°, I = 34
30.8°, I = 29
33.2°, I = 100
34.0°, I = 25
35.0°, I = 46
35.8°, I = 40
39.0°, I = 48

=====

8.
Simulated powder diffractogram of SnO2 for copper Kα, from a GGA-PBE-relaxed structure.
Neutral-atom scattering factors, no anomalous dispersion.

Cell and atoms:
```
data_SnO2
_chemical_formula_sum 'Sn12 O24'
_symmetry_space_group_name_H-M 'P 1'
_symmetry_Int_Tables_number 1
_symmetry_space_group_name_Hall 'P 1'
_cell_length_a 4.806
_cell_length_b 5.824
_cell_length_c 16.101
_cell_angle_alpha 90.00
_cell_angle_beta 90.00
_cell_angle_gamma 90.00
loop_
_atom_site_label
_atom_site_type_symbol
_atom_site_fract_x
_atom_site_fract_y
_atom_site_fract_z
_atom_site_occupancy
Sn1 Sn 0.000 0.021 0.250 1
Sn2 Sn 0.000 0.979 0.750 1
Sn3 Sn 0.003 0.344 0.084 1
Sn4 Sn 0.003 0.656 0.584 1
Sn5 Sn 0.497 0.156 0.584 1
Sn6 Sn 0.497 0.844 0.084 1
Sn7 Sn 0.500 0.479 0.750 1
Sn8 Sn 0.500 0.521 0.250 1
Sn9 Sn 0.503 0.156 0.916 1
Sn10 Sn 0.503 0.844 0.416 1
Sn11 Sn 0.997 0.344 0.416 1
Sn12 Sn 0.997 0.656 0.916 1
O1 O 0.206 0.376 0.529 1
O2 O 0.206 0.624 0.029 1
O3 O 0.211 0.066 0.362 1
O4 O 0.211 0.934 0.862 1
O5 O 0.227 0.295 0.195 1
O6 O 0.227 0.705 0.695 1
O7 O 0.273 0.205 0.695 1
O8 O 0.273 0.795 0.195 1
O9 O 0.289 0.434 0.862 1
O10 O 0.289 0.566 0.362 1
O11 O 0.294 0.124 0.029 1
O12 O 0.294 0.876 0.529 1
O13 O 0.706 0.124 0.471 1
O14 O 0.706 0.876 0.971 1
O15 O 0.711 0.434 0.638 1
O16 O 0.711 0.566 0.138 1
O17 O 0.727 0.205 0.805 1
O18 O 0.727 0.795 0.305 1
O19 O 0.773 0.295 0.305 1
O20 O 0.773 0.705 0.805 1
O21 O 0.789 0.066 0.138 1
O22 O 0.789 0.934 0.638 1
O23 O 0.794 0.376 0.971 1
O24 O 0.794 0.624 0.471 1
```

Top 8 peaks for 2θ = 10–80°, low angle first:
24.6°, I = 49
26.5°, I = 100
29.3°, I = 69
32.8°, I = 49
33.4°, I = 37
51.0°, I = 39
52.2°, I = 35
62.1°, I = 31